# 1
DyMnGa: theoretical PXRD pattern (Cu Kα (weighted mean of Kα1 and Kα2)), based on a PBE-relaxed structure.
Peak positions follow from Bragg's law for the DFT cell and can differ from measured ones.

Top 8 peaks for 2θ = 10–80°, in order of falling intensity:
(hkl)	Position (°2θ)	I (rel.)
1 1 1	33.78	100
2 0 1	36.79	82
2 1 0	38.03	44
3 1 1	58.13	30
0 0 2	46.47	21
2 1 2	61.55	21
3 2 1	69.76	21
3 1 0	52.72	20

Cell and atoms:
```
data_DyMnGa
_space_group_name_H-M_alt 'P -6 2 m'
_space_group_IT_number 189
_space_group_name_Hall 'P -6 -2'
_cell_length_a 7.2289
_cell_length_b 7.2289
_cell_length_c 3.9084
_cell_angle_alpha 90.00
_cell_angle_beta 90.00
_cell_angle_gamma 120.00
loop_
_atom_site_label
_atom_site_fract_x
_atom_site_fract_y
_atom_site_fract_z
Dy1 0.0000 0.5854 0.0000
Mn1 0.0000 0.0000 0.0000
Mn2 0.3333 0.6667 0.5000
Ga1 0.0000 0.2558 0.5000
```



# 2
MnCd4Te5: theoretical PXRD pattern (Cu Kα (weighted mean of Kα1 and Kα2)), based on a PBE-relaxed structure.
Peak positions follow from Bragg's law for the DFT cell and can differ from measured ones.

Top 8 peaks for 2θ = 10–80°, in order of falling intensity:
(hkl)	Position (°2θ)	I (rel.)
2 1 1	23.47	100
4 2 0	38.79	78
5 0 1	45.84	48
7 1 2	70.23	25
6 3 1	61.57	19
4 7 1	75.20	14
2 6 0	56.03	13
1 3 0	27.17	1

Cell and atoms:
```
data_MnCd4Te5
_space_group_name_H-M_alt 'I -4'
_space_group_IT_number 82
_space_group_name_Hall 'I -4'
_cell_length_a 10.380
_cell_length_b 10.380
_cell_length_c 6.567
_cell_angle_alpha 90.00
_cell_angle_beta 90.00
_cell_angle_gamma 90.00
loop_
_atom_site_label
_atom_site_fract_x
_atom_site_fract_y
_atom_site_fract_z
Mn1 0.000 0.000 0.000
Cd1 0.101 0.299 0.499
Te1 0.000 0.500 0.750
Te2 0.096 0.807 0.241
```



# 3
Mg6SiSb: theoretical PXRD pattern (Cu Kα (weighted mean of Kα1 and Kα2)), based on a PBE-relaxed structure.
Peak positions follow from Bragg's law for the DFT cell and can differ from measured ones.

Top 8 peaks for 2θ = 10–80°, in order of falling intensity:
(hkl)	Position (°2θ)	I (rel.)
1 2 2	37.33	100
1 0 4	37.60	49
0 1 1	16.27	43
1 1 1	23.76	39
2 0 0	34.82	39
0 2 2	32.87	30
0 0 2	16.41	27
1 0 0	17.21	24

Cell and atoms:
```
data_Mg6SiSb
_space_group_name_H-M_alt 'A m m 2'
_space_group_IT_number 38
_space_group_name_Hall 'A 2 -2'
_cell_length_a 5.153
_cell_length_b 6.311
_cell_length_c 10.802
_cell_angle_alpha 90.00
_cell_angle_beta 90.00
_cell_angle_gamma 90.00
loop_
_atom_site_label
_atom_site_fract_x
_atom_site_fract_y
_atom_site_fract_z
Mg1 0.000 0.000 0.000
Mg2 0.000 0.000 0.497
Mg3 0.000 0.245 0.246
Mg4 0.500 0.250 0.414
Si1 0.500 0.000 0.163
Sb1 0.500 0.000 0.663
```



# 4
Ce3Al: theoretical PXRD pattern (Cu Kα (weighted mean of Kα1 and Kα2)), based on a PBE-relaxed structure.
Peak positions follow from Bragg's law for the DFT cell and can differ from measured ones.

Top 8 peaks for 2θ = 10–80°, in order of falling intensity:
(hkl)	Position (°2θ)	I (rel.)
2 0 1	35.26	100
1 0 1	22.76	37
0 0 2	33.97	27
2 0 0	30.77	24
2 0 3	61.62	20
2 2 2	65.98	18
2 2 0	54.71	16
2 0 2	46.48	15

Cell and atoms:
```
data_Ce3Al
_space_group_name_H-M_alt 'P 63/m m c'
_space_group_IT_number 194
_space_group_name_Hall '-P 6c 2c'
_cell_length_a 6.7112
_cell_length_b 6.7112
_cell_length_c 5.2784
_cell_angle_alpha 90.00
_cell_angle_beta 90.00
_cell_angle_gamma 120.00
loop_
_atom_site_label
_atom_site_fract_x
_atom_site_fract_y
_atom_site_fract_z
Ce1 0.1837 0.3674 0.2500
Al1 0.3333 0.6667 0.7500
```



Which formula does entry 3 have? Mg6SiSb



Please write out number 4 again, unchanged.
Ce3Al: theoretical PXRD pattern (Cu Kα (weighted mean of Kα1 and Kα2)), based on a PBE-relaxed structure.
Peak positions follow from Bragg's law for the DFT cell and can differ from measured ones.

Top 8 peaks for 2θ = 10–80°, in order of falling intensity:
(hkl)	Position (°2θ)	I (rel.)
2 0 1	35.26	100
1 0 1	22.76	37
0 0 2	33.97	27
2 0 0	30.77	24
2 0 3	61.62	20
2 2 2	65.98	18
2 2 0	54.71	16
2 0 2	46.48	15

Cell and atoms:
```
data_Ce3Al
_space_group_name_H-M_alt 'P 63/m m c'
_space_group_IT_number 194
_space_group_name_Hall '-P 6c 2c'
_cell_length_a 6.7112
_cell_length_b 6.7112
_cell_length_c 5.2784
_cell_angle_alpha 90.00
_cell_angle_beta 90.00
_cell_angle_gamma 120.00
loop_
_atom_site_label
_atom_site_fract_x
_atom_site_fract_y
_atom_site_fract_z
Ce1 0.1837 0.3674 0.2500
Al1 0.3333 0.6667 0.7500
```